The following is a calculated PXRD pattern of PrDy5Y12. It was derived from DFT lattice parameters and positions (GGA-PBE), using Cu Kα.

```
PrDy5Y12
1.0
7.572 -7.581 0.000
7.572 7.581 0.000
0.000 0.000 5.048
Pr Dy Y
1 5 12
Cartesian
0.000 0.000 0.000
7.572 5.031 2.524
7.572 2.522 0.000
7.572 0.000 2.524
7.572 -2.522 0.000
7.572 -5.031 2.524
5.049 5.040 0.000
2.532 0.000 2.524
5.066 2.520 2.524
5.065 0.000 0.000
10.094 5.040 0.000
10.077 2.520 2.524
5.066 -2.520 2.524
5.049 -5.040 0.000
10.079 0.000 0.000
10.077 -2.520 2.524
12.611 0.000 2.524
10.094 -5.040 0.000
```

Most intense lines, 2θ from 10° to 90°, by intensity:
Position (°2θ)	I/Imax
30.67	100.0
35.56	50.2
60.84	41.4
51.16	35.1
83.43	16.8
63.85	11.9
86.09	10.4
11.69	8.6
25.63	5.7
86.16	5.2